Mg6PtPb3: calculated XRD peak list (a wavelength of 1.5418 Å), based on the PBE geometry in Alexandria.

abc: 9.285 10.769 4.842
angles: 90.00 90.00 90.00
Space group Pnnm (No. 58)
Symmetry-distinct sites (fractional):
Mg 0.111 0.223 0.000
Mg 0.153 0.042 0.500
Mg 0.248 0.382 0.500
Pt 0.000 0.000 0.000
Pb 0.000 0.500 0.000
Pb 0.070 0.723 0.500

The 10 most intense peaks (15° ≤ 2θ ≤ 90°), low angle first:
2theta	Rel. int.	index
19.12	40	2 0 0
26.56	100	1 2 1
33.28	16	0 4 0
35.42	22	3 1 1
37.14	20	0 0 2
38.35	25	3 2 1
38.66	17	2 4 0
50.72	11	0 4 2
54.68	12	2 4 2
55.49	14	1 6 1